This entry pairs a crystal structure of TbPmPd3 with its simulated powder diffraction line list. Radiation: Cu Kα (weighted mean of Kα1 and Kα2). Structure: a crystal structure in Alexandria, relaxed with GGA-PBE.

Most intense lines, 15° ≤ 2θ ≤ 90°, sorted by position:
| Position (°2θ) | intensity | hkl |
| --- | --- | --- |
| 25.83 | 13.5 | 1 2 0 |
| 34.58 | 100.0 | 1 2 2 |
| 36.25 | 15.3 | 1 3 0 |
| 36.43 | 21.5 | 2 1 2 |
| 40.86 | 10.3 | 3 1 0 |
| 45.56 | 20.7 | 3 2 0 |
| 46.12 | 15.8 | 0 0 4 |
| 66.83 | 13.2 | 3 2 4 |
| 77.06 | 13.8 | 4 4 2 |
| 77.89 | 9.3 | 1 2 6 |

Structure:
Lattice parameters (Å, degrees): 6.8961 7.9671 7.8733 90.00 90.00 90.00
Atoms (fractional coordinates):
Tb: 0.2161 0.1329 0.0000
Tb: 0.2839 0.6329 0.5000
Tb: 0.7161 0.3671 0.5000
Tb: 0.7839 0.8671 0.0000
Pm: 0.2191 0.1347 0.5000
Pm: 0.2809 0.6347 0.0000
Pm: 0.7191 0.3653 0.0000
Pm: 0.7809 0.8653 0.5000
Pd: 0.0000 0.5000 0.2605
Pd: 0.0000 0.5000 0.7395
Pd: 0.1152 0.8540 0.2502
Pd: 0.1152 0.8540 0.7498
Pd: 0.3848 0.3540 0.2498
Pd: 0.3848 0.3540 0.7502
Pd: 0.5000 0.0000 0.2395
Pd: 0.5000 0.0000 0.7605
Pd: 0.6152 0.6460 0.2498
Pd: 0.6152 0.6460 0.7502
Pd: 0.8848 0.1460 0.2502
Pd: 0.8848 0.1460 0.7498